Computed powder X-ray diffraction pattern of CsMoN2 for Cu Kα (weighted mean of Kα1 and Kα2), from a DFT-relaxed cell (GGA-PBE, OQMD).

abc: 6.1779 6.1779 6.1779
angles: 60.00 60.00 60.00
Fractional coordinates of all 8 atoms:
Cs1 0.1250 0.1250 0.1250
Cs2 0.8750 0.8750 0.8750
Mo1 0.3750 0.3750 0.3750
Mo2 0.6250 0.6250 0.6250
N1 0.0000 0.5000 0.5000
N2 0.5000 0.0000 0.5000
N3 0.5000 0.5000 0.0000
N4 0.5000 0.5000 0.5000

Top 8 peaks for 2θ = 5–70°, in order of rising 2θ:
- 2θ 28.90, I 100
- 2θ 34.03, I 3
- 2θ 35.60, I 1
- 2θ 41.34, I 15
- 2θ 51.22, I 39
- 2θ 54.58, I 1
- 2θ 59.89, I 15
- 2θ 67.84, I 17


Computed powder X-ray diffraction pattern of Ho4CuPt3 for Cu Kα (weighted mean of Kα1 and Kα2), from a DFT-relaxed cell (GGA-PBE, OQMD).

abc: 5.5396 4.4854 6.9975
angles: 90.00 90.39 90.00
Fractional coordinates of all 8 atoms:
Ho1 0.0000 0.0000 0.0000
Ho2 0.2187 0.0000 0.4973
Ho3 0.4986 0.5000 0.1403
Ho4 0.7272 0.5000 0.6298
Cu1 0.4970 0.0000 0.8542
Pt1 0.0165 0.5000 0.2706
Pt2 0.2266 0.5000 0.7817
Pt3 0.7014 0.0000 0.3613

Top 8 peaks for 2θ = 5–70°, in order of rising 2θ:
- 2θ 28.64, I 41
- 2θ 32.45, I 100
- 2θ 34.75, I 47
- 2θ 36.30, I 73
- 2θ 36.46, I 60
- 2θ 40.21, I 70
- 2θ 40.31, I 54
- 2θ 40.46, I 67


Computed powder X-ray diffraction pattern of Gd2DyFe2B2N3 for Cu Kα (weighted mean of Kα1 and Kα2), from a DFT-relaxed cell (GGA-PBE, OQMD).

abc: 10.5088 10.5088 10.5088
angles: 160.98 160.98 27.02
Fractional coordinates of all 10 atoms:
Gd1 0.1225 0.1225 0.0000
Gd2 0.8775 0.8775 0.0000
Dy1 0.5000 0.5000 0.0000
Fe1 0.2500 0.7500 0.5000
Fe2 0.7500 0.2500 0.5000
B1 0.3123 0.3123 0.0000
B2 0.6877 0.6877 0.0000
N1 0.0000 0.0000 0.0000
N2 0.3849 0.3849 0.0000
N3 0.6151 0.6151 0.0000

Top 8 peaks for 2θ = 5–70°, in order of rising 2θ:
- 2θ 28.86, I 100
- 2θ 33.88, I 88
- 2θ 35.13, I 53
- 2θ 36.60, I 43
- 2θ 37.68, I 41
- 2θ 40.78, I 30
- 2θ 52.73, I 36
- 2θ 64.95, I 34